No. 1
# Tb4Pr15Al
Computed powder X-ray diffraction pattern, Cu Kα X-rays. Input: a PBE-relaxed structure.

Most intense lines, 2θ = 10–90°, sorted by position:
2θ (°)  d/Å  Rel. int.
30.06  2.973  100
34.63  2.591  16
34.96  2.567  34
50.03  1.823  23
59.25  1.559  13
59.69  1.549  28

Cell and atoms:
```
Tb4Pr15Al
1.0
5.1332 0.0000 0.0000
0.0000 5.1332 0.0000
0.0000 0.0000 25.9050
Tb Pr Al
4 15 1
Direct
0.0000 0.0000 0.1010
0.0000 0.0000 0.3039
0.0000 0.0000 0.6961
0.0000 0.0000 0.8990
0.0000 0.5000 0.0000
0.0000 0.5000 0.2028
0.0000 0.5000 0.4064
0.0000 0.5000 0.5936
0.0000 0.5000 0.7972
0.5000 0.0000 0.0000
0.5000 0.0000 0.2028
0.5000 0.0000 0.4064
0.5000 0.0000 0.5936
0.5000 0.0000 0.7972
0.5000 0.5000 0.1015
0.5000 0.5000 0.3045
0.5000 0.5000 0.5000
0.5000 0.5000 0.6955
0.5000 0.5000 0.8985
0.0000 0.0000 0.5000
```

=====

No. 2
# Tb3PrAl4
Computed powder X-ray diffraction pattern, Cu Kα X-rays. Input: a PBE-relaxed structure.

Most intense lines, 2θ = 10–90°, sorted by position:
2θ (°)  d/Å  Rel. int.
24.28  3.666  20
24.40  3.648  40
34.72  2.584  100
42.87  2.110  18
56.36  1.632  17
62.29  1.491  24

Cell and atoms:
```
Tb3PrAl4
1.0
10.3198 0.0000 0.0000
0.0000 7.3313 0.0000
0.0000 0.0000 5.1593
Tb Pr Al
6 2 8
Direct
0.0000 0.0000 0.0000
0.2500 0.0000 0.4986
0.2500 0.5000 0.4989
0.5000 0.0000 0.0000
0.7500 0.0000 0.5014
0.7500 0.5000 0.5011
0.0000 0.5000 0.0000
0.5000 0.5000 0.0000
0.0000 0.2418 0.5000
0.0000 0.7582 0.5000
0.2500 0.2418 0.9984
0.2500 0.7582 0.9984
0.5000 0.2418 0.5000
0.5000 0.7582 0.5000
0.7500 0.2418 0.0016
0.7500 0.7582 0.0016
```

=====

No. 3
# Tb3PrAl8
Computed powder X-ray diffraction pattern, Cu Kα X-rays. Input: a PBE-relaxed structure.

Most intense lines, 2θ = 10–90°, sorted by position:
2θ (°)  d/Å  Rel. int.
18.29  4.850  40
20.69  4.293  33
31.96  2.800  74
34.54  2.597  100
37.58  2.394  66
58.63  1.575  42

Cell and atoms:
```
Tb3PrAl8
1.0
5.6009 0.0000 0.0000
-2.8004 4.8505 0.0000
0.0000 0.0000 9.2223
Tb Pr Al
3 1 8
Direct
0.0000 0.0000 0.0000
0.0000 0.0000 0.3635
0.3333 0.6667 0.8651
0.3333 0.6667 0.5009
0.0088 0.5044 0.1803
0.3243 0.1622 0.6866
0.4956 0.5044 0.1803
0.4956 0.9912 0.1803
0.6667 0.3333 0.4314
0.6667 0.3333 0.9345
0.8378 0.1622 0.6866
0.8378 0.6757 0.6866
```

=====

No. 4
# PrAl4Tc
Computed powder X-ray diffraction pattern, Cu Kα X-rays. Input: a PBE-relaxed structure.

Most intense lines, 2θ = 10–90°, sorted by position:
2θ (°)  d/Å  Rel. int.
24.12  3.689  100
26.23  3.397  49
29.70  3.008  71
36.01  2.494  82
38.69  2.327  55
54.22  1.692  50

Cell and atoms:
```
PrAl4Tc
1.0
2.3018 -7.3481 0.0000
2.3018 7.3481 0.0000
0.0000 0.0000 6.7945
Pr Al Tc
2 8 2
Direct
0.1126 0.8874 0.7500
0.8874 0.1126 0.2500
0.0901 0.9099 0.2500
0.2642 0.7358 0.0736
0.2642 0.7358 0.4264
0.5000 0.5000 0.0000
0.5000 0.5000 0.5000
0.7358 0.2642 0.5736
0.7358 0.2642 0.9264
0.9099 0.0901 0.7500
0.3497 0.6503 0.7500
0.6503 0.3497 0.2500
```

=====

No. 5
# PrAl2Te4
Computed powder X-ray diffraction pattern, Cu Kα X-rays. Input: a PBE-relaxed structure.

Most intense lines, 2θ = 10–90°, sorted by position:
2θ (°)  d/Å  Rel. int.
26.31  3.388  28
27.37  3.258  100
30.43  2.938  16
34.13  2.627  24
43.59  2.076  31
47.06  1.931  43

Cell and atoms:
```
PrAl2Te4
1.0
8.3102 0.0000 0.0000
0.0000 8.3102 0.0000
0.0000 0.0000 6.7750
Pr Al Te
2 4 8
Direct
0.0000 0.0000 0.0000
0.5000 0.5000 0.5000
0.0000 0.5000 0.2500
0.0000 0.5000 0.7500
0.5000 0.0000 0.2500
0.5000 0.0000 0.7500
0.1585 0.3077 0.5000
0.1923 0.6585 0.0000
0.3077 0.8415 0.5000
0.3415 0.1923 0.0000
0.6585 0.8077 0.0000
0.6923 0.1585 0.5000
0.8077 0.3415 0.0000
0.8415 0.6923 0.5000
```

=====

No. 6
# PrAlTl2Te4
Computed powder X-ray diffraction pattern, Cu Kα X-rays. Input: a PBE-relaxed structure.

Most intense lines, 2θ = 10–90°, sorted by position:
2θ (°)  d/Å  Rel. int.
27.41  3.254  51
27.65  3.227  100
30.33  2.947  19
39.33  2.291  71
40.61  2.222  19
49.69  1.835  20

Cell and atoms:
```
PrAlTl2Te4
1.0
-4.4432 4.6931 6.5078
4.4432 -4.6931 6.5078
4.4432 4.6931 -6.5078
Pr Al Tl Te
2 2 4 8
Direct
0.0000 0.0000 0.0000
0.5000 0.0000 0.5000
0.5000 0.0000 0.0000
0.5000 0.5000 0.5000
0.0000 0.0000 0.5000
0.0000 0.5000 0.0000
0.0000 0.5000 0.5000
0.5000 0.5000 0.0000
0.2745 0.2642 0.4897
0.2745 0.7848 0.0103
0.2916 0.2460 0.0456
0.2996 0.7540 0.5456
0.7004 0.2460 0.4544
0.7084 0.7540 0.9544
0.7255 0.2152 0.9897
0.7255 0.7358 0.5103
```

=====

No. 7
# PrThAl6
Computed powder X-ray diffraction pattern, Cu Kα X-rays. Input: a PBE-relaxed structure.

Most intense lines, 2θ = 10–90°, sorted by position:
2θ (°)  d/Å  Rel. int.
15.72  5.639  32
24.78  3.593  100
27.40  3.256  49
31.74  2.819  23
37.27  2.413  83
46.87  1.938  28

Cell and atoms:
```
PrThAl6
1.0
6.5111 0.0000 0.0000
-3.2555 5.6388 0.0000
0.0000 0.0000 4.6618
Pr Th Al
1 1 6
Direct
0.0000 0.0000 0.0000
0.3333 0.6667 0.5000
0.3859 0.1929 0.5000
0.5266 0.0532 0.0000
0.5266 0.4734 0.0000
0.8071 0.1929 0.5000
0.8071 0.6141 0.5000
0.9468 0.4734 0.0000
```

=====

No. 8
# PrThAl4
Computed powder X-ray diffraction pattern, Cu Kα X-rays. Input: a PBE-relaxed structure.

Most intense lines, 2θ = 10–90°, sorted by position:
2θ (°)  d/Å  Rel. int.
21.27  4.178  57
23.20  3.833  29
26.94  3.309  58
31.39  2.850  100
35.85  2.505  43
41.60  2.171  29

Cell and atoms:
```
PrThAl4
1.0
4.3418 0.0000 0.0000
0.0000 4.3418 0.0000
0.0000 0.0000 15.3330
Pr Th Al
2 2 8
Direct
0.0000 0.0000 0.0000
0.5000 0.5000 0.5000
0.0000 0.5000 0.2500
0.5000 0.0000 0.7500
0.0000 0.0000 0.4169
0.0000 0.0000 0.5831
0.0000 0.5000 0.6679
0.0000 0.5000 0.8321
0.5000 0.0000 0.1679
0.5000 0.0000 0.3321
0.5000 0.5000 0.0831
0.5000 0.5000 0.9169
```

=====

No. 9
# Pr5Al4Tl
Computed powder X-ray diffraction pattern, Cu Kα X-rays. Input: a PBE-relaxed structure.

Most intense lines, 2θ = 10–90°, sorted by position:
2θ (°)  d/Å  Rel. int.
23.53  3.781  20
33.32  2.689  100
33.52  2.674  51
48.13  1.891  19
59.42  1.555  18
59.80  1.547  37

Cell and atoms:
```
Pr5Al4Tl
1.0
3.7813 0.0000 0.0000
0.0000 3.7813 0.0000
0.0000 0.0000 19.1241
Pr Al Tl
5 4 1
Direct
0.0000 0.0000 0.0000
0.0000 0.0000 0.1940
0.0000 0.0000 0.3900
0.0000 0.0000 0.6100
0.0000 0.0000 0.8060
0.5000 0.5000 0.0972
0.5000 0.5000 0.2924
0.5000 0.5000 0.7076
0.5000 0.5000 0.9028
0.5000 0.5000 0.5000
```

=====

No. 10
# PrYAlTl
Computed powder X-ray diffraction pattern, Cu Kα X-rays. Input: a PBE-relaxed structure.

Most intense lines, 2θ = 10–90°, sorted by position:
2θ (°)  d/Å  Rel. int.
11.42  7.745  33
26.50  3.364  36
33.33  2.688  100
33.95  2.641  49
48.77  1.867  18
60.36  1.534  36

Cell and atoms:
```
PrYAlTl
1.0
3.7346 0.0000 0.0000
0.0000 3.7346 0.0000
0.0000 0.0000 7.7452
Pr Y Al Tl
1 1 1 1
Direct
0.0000 0.0000 0.0000
0.0000 0.0000 0.4734
0.5000 0.5000 0.2492
0.5000 0.5000 0.7211
```

=====

No. 11
# Pr14YAl
Computed powder X-ray diffraction pattern, Cu Kα X-rays. Input: a PBE-relaxed structure.

Most intense lines, 2θ = 10–90°, sorted by position:
2θ (°)  d/Å  Rel. int.
29.98  2.980  100
34.76  2.581  50
49.98  1.825  36
59.38  1.556  42
62.31  1.490  12
81.23  1.184  17

Cell and atoms:
```
Pr14YAl
1.0
7.3032 0.0000 0.0000
0.0000 7.3032 0.0000
0.0000 0.0000 10.3141
Pr Y Al
14 1 1
Direct
0.0000 0.0000 0.0000
0.0000 0.5000 0.0000
0.0000 0.5000 0.5000
0.2441 0.2441 0.2587
0.2441 0.2441 0.7413
0.2441 0.7559 0.2587
0.2441 0.7559 0.7413
0.5000 0.0000 0.0000
0.5000 0.0000 0.5000
0.5000 0.5000 0.0000
0.7559 0.2441 0.2587
0.7559 0.2441 0.7413
0.7559 0.7559 0.2587
0.7559 0.7559 0.7413
0.5000 0.5000 0.5000
0.0000 0.0000 0.5000
```

=====

No. 12
# PrYAl
Computed powder X-ray diffraction pattern, Cu Kα X-rays. Input: a PBE-relaxed structure.

Most intense lines, 2θ = 10–90°, sorted by position:
2θ (°)  d/Å  Rel. int.
24.43  3.643  79
34.82  2.576  100
43.04  2.102  17
50.07  1.822  18
56.54  1.628  15
62.49  1.486  27

Cell and atoms:
```
PrYAl
1.0
2.5727 1.4854 8.4374
-2.5727 1.4854 8.4374
0.0000 -2.9707 8.4374
Pr Y Al
2 2 2
Direct
0.1232 0.1232 0.1232
0.8768 0.8768 0.8768
0.3734 0.3734 0.3734
0.6266 0.6266 0.6266
0.2529 0.2529 0.2529
0.7471 0.7471 0.7471
```